# 1
This entry pairs a crystal structure of Li3CuO2 with its calculated powder diffraction line list. Radiation: Cu Ka. Structure: a DFT-relaxed cell (GGA-PBE, Alexandria).
Lines closer than 0.1° are merged.

Crystal structure
```
data_Li3CuO2
_symmetry_space_group_name_H-M 'P 1'
_symmetry_Int_Tables_number 1
_cell_length_a 5.871
_cell_length_b 5.871
_cell_length_c 5.871
_cell_angle_alpha 132.33
_cell_angle_beta 72.73
_cell_angle_gamma 128.56
loop_
_symmetry_equiv_pos_as_xyz
'x,y,z'
loop_
_atom_site_label
_atom_site_fract_x
_atom_site_fract_y
_atom_site_fract_z
_atom_site_occupancy
Li1 0.008 0.750 0.258 1
Li2 0.250 0.250 0.000 1
Li3 0.492 0.750 0.742 1
Li4 0.508 0.250 0.258 1
Li5 0.750 0.750 0.000 1
Li6 0.992 0.250 0.742 1
Cu1 0.000 0.500 0.500 1
Cu2 0.500 0.000 0.500 1
O1 0.138 0.218 0.356 1
O2 0.362 0.718 0.080 1
O3 0.638 0.282 0.920 1
O4 0.862 0.782 0.644 1
```

Main lines, by intensity (10 to 90 degrees two-theta):
2θ (°)  I/Imax
20.9  100
18.8  60
41.3  46
34.2  38
49.9  35
35.2  28
40.2  24
54.8  24
56.5  22
32.0  21

# 2
This entry pairs a crystal structure of Np3IrS6 with its calculated powder diffraction line list. Radiation: Cu Ka. Structure: a DFT-relaxed cell (GGA-PBE, Alexandria).
Lines closer than 0.1° are merged.

Crystal structure
```
data_Np3IrS6
_symmetry_space_group_name_H-M 'P 1'
_symmetry_Int_Tables_number 1
_cell_length_a 8.412
_cell_length_b 8.412
_cell_length_c 6.215
_cell_angle_alpha 90.00
_cell_angle_beta 90.00
_cell_angle_gamma 101.82
loop_
_symmetry_equiv_pos_as_xyz
'x,y,z'
loop_
_atom_site_label
_atom_site_fract_x
_atom_site_fract_y
_atom_site_fract_z
_atom_site_occupancy
Np1 0.112 0.888 0.500 1
Np2 0.225 0.430 0.416 1
Np3 0.430 0.225 0.916 1
Np4 0.570 0.775 0.416 1
Np5 0.775 0.570 0.916 1
Np6 0.888 0.112 0.000 1
Ir1 0.312 0.688 0.829 1
Ir2 0.688 0.312 0.329 1
S1 0.056 0.591 0.684 1
S2 0.134 0.189 0.708 1
S3 0.189 0.134 0.208 1
S4 0.276 0.724 0.205 1
S5 0.409 0.944 0.684 1
S6 0.477 0.523 0.700 1
S7 0.523 0.477 0.200 1
S8 0.591 0.056 0.184 1
S9 0.724 0.276 0.705 1
S10 0.811 0.866 0.708 1
S11 0.866 0.811 0.208 1
S12 0.944 0.409 0.184 1
```

Main lines, by intensity (10 to 90 degrees two-theta):
2θ (°)  I/Imax
26.0  100
26.4  60
43.1  40
39.2  37
17.9  30
51.7  26
40.1  25
39.4  25
26.1  20
29.9  20

# 3
This entry pairs a crystal structure of CaBePdO5 with its calculated powder diffraction line list. Radiation: Cu Ka. Structure: a DFT-relaxed cell (GGA-PBE, Alexandria).
Lines closer than 0.1° are merged.

Crystal structure
```
data_CaBePdO5
_symmetry_space_group_name_H-M 'P 1'
_symmetry_Int_Tables_number 1
_cell_length_a 5.544
_cell_length_b 5.544
_cell_length_c 7.071
_cell_angle_alpha 105.33
_cell_angle_beta 105.33
_cell_angle_gamma 108.27
loop_
_symmetry_equiv_pos_as_xyz
'x,y,z'
loop_
_atom_site_label
_atom_site_fract_x
_atom_site_fract_y
_atom_site_fract_z
_atom_site_occupancy
Ca1 0.158 0.842 0.750 1
Ca2 0.842 0.158 0.250 1
Be1 0.203 0.797 0.250 1
Be2 0.797 0.203 0.750 1
Pd1 0.500 0.500 0.000 1
Pd2 0.500 0.500 0.500 1
O1 0.101 0.245 0.913 1
O2 0.186 0.594 0.376 1
O3 0.245 0.101 0.413 1
O4 0.406 0.814 0.124 1
O5 0.413 0.587 0.750 1
O6 0.587 0.413 0.250 1
O7 0.594 0.186 0.876 1
O8 0.755 0.899 0.587 1
O9 0.814 0.406 0.624 1
O10 0.899 0.755 0.087 1
```

Main lines, by intensity (10 to 90 degrees two-theta):
2θ (°)  I/Imax
18.2  100
27.2  89
33.7  42
30.8  41
34.7  40
19.8  35
43.7  22
51.6  18
56.7  17
39.5  16

# 4
This entry pairs a crystal structure of La5In2Pb with its calculated powder diffraction line list. Radiation: Cu Ka. Structure: a DFT-relaxed cell (GGA-PBE, Alexandria).
Lines closer than 0.1° are merged.

Crystal structure
```
data_La5In2Pb
_symmetry_space_group_name_H-M 'P 1'
_symmetry_Int_Tables_number 1
_cell_length_a 7.039
_cell_length_b 7.042
_cell_length_c 7.044
_cell_angle_alpha 118.29
_cell_angle_beta 118.28
_cell_angle_gamma 92.96
loop_
_symmetry_equiv_pos_as_xyz
'x,y,z'
loop_
_atom_site_label
_atom_site_fract_x
_atom_site_fract_y
_atom_site_fract_z
_atom_site_occupancy
La1 0.000 0.000 0.000 1
La2 0.014 0.015 0.547 1
La3 0.467 0.468 0.452 1
La4 0.533 0.988 0.000 1
La5 0.981 0.532 0.000 1
In1 0.001 0.501 0.502 1
In2 0.498 0.999 0.498 1
Pb1 0.495 0.503 0.998 1
```

Main lines, by intensity (10 to 90 degrees two-theta):
2θ (°)  I/Imax
30.9  100
35.1  34
60.4  25
52.0  22
37.1  16
84.9  13
63.0  12
50.5  11
64.3  10
29.1  6

# 5
This entry pairs a crystal structure of Fe3Ag5 with its calculated powder diffraction line list. Radiation: Cu Ka. Structure: a DFT-relaxed cell (GGA-PBE, Alexandria).
Lines closer than 0.1° are merged.

Crystal structure
```
data_Fe3Ag5
_symmetry_space_group_name_H-M 'P 1'
_symmetry_Int_Tables_number 1
_cell_length_a 4.761
_cell_length_b 6.707
_cell_length_c 8.473
_cell_angle_alpha 81.03
_cell_angle_beta 87.57
_cell_angle_gamma 89.08
loop_
_symmetry_equiv_pos_as_xyz
'x,y,z'
loop_
_atom_site_label
_atom_site_fract_x
_atom_site_fract_y
_atom_site_fract_z
_atom_site_occupancy
Fe1 0.097 0.181 0.023 1
Fe2 0.108 0.523 0.117 1
Fe3 0.380 0.867 0.471 1
Fe4 0.620 0.133 0.529 1
Fe5 0.892 0.477 0.883 1
Fe6 0.903 0.819 0.977 1
Ag1 0.100 0.084 0.706 1
Ag2 0.137 0.259 0.381 1
Ag3 0.328 0.465 0.637 1
Ag4 0.403 0.728 0.843 1
Ag5 0.411 0.851 0.142 1
Ag6 0.589 0.149 0.858 1
Ag7 0.597 0.272 0.157 1
Ag8 0.672 0.535 0.363 1
Ag9 0.863 0.741 0.619 1
Ag10 0.900 0.916 0.294 1
```

Main lines, by intensity (10 to 90 degrees two-theta):
2θ (°)  I/Imax
36.5  100
40.4  83
41.1  74
38.1  67
42.7  63
38.8  61
42.2  51
43.3  49
48.0  46
46.8  45

Copy entry 1 word for word.
This entry pairs a crystal structure of Li3CuO2 with its calculated powder diffraction line list. Radiation: Cu Ka. Structure: a DFT-relaxed cell (GGA-PBE, Alexandria).
Lines closer than 0.1° are merged.

Crystal structure
```
data_Li3CuO2
_symmetry_space_group_name_H-M 'P 1'
_symmetry_Int_Tables_number 1
_cell_length_a 5.871
_cell_length_b 5.871
_cell_length_c 5.871
_cell_angle_alpha 132.33
_cell_angle_beta 72.73
_cell_angle_gamma 128.56
loop_
_symmetry_equiv_pos_as_xyz
'x,y,z'
loop_
_atom_site_label
_atom_site_fract_x
_atom_site_fract_y
_atom_site_fract_z
_atom_site_occupancy
Li1 0.008 0.750 0.258 1
Li2 0.250 0.250 0.000 1
Li3 0.492 0.750 0.742 1
Li4 0.508 0.250 0.258 1
Li5 0.750 0.750 0.000 1
Li6 0.992 0.250 0.742 1
Cu1 0.000 0.500 0.500 1
Cu2 0.500 0.000 0.500 1
O1 0.138 0.218 0.356 1
O2 0.362 0.718 0.080 1
O3 0.638 0.282 0.920 1
O4 0.862 0.782 0.644 1
```

Main lines, by intensity (10 to 90 degrees two-theta):
2θ (°)  I/Imax
20.9  100
18.8  60
41.3  46
34.2  38
49.9  35
35.2  28
40.2  24
54.8  24
56.5  22
32.0  21